Starting from a cell relaxed with PBE, the X-ray diffraction stick pattern of Cd3Ag4 was computed for Cu Kα.
Intensities are scaled so that the largest is 100.

Principal peaks in the range 2θ = 5–70°, in order of rising 2θ:
d/Å  I/Imax
11.319  1
2.747  1
2.444  57
2.362  100
2.034  1
1.728  19
1.617  7
1.395  35
1.349  14

Structure:
```
Cd3Ag4
1.0
-1.7282 1.7282 11.3195
1.7282 -1.7282 11.3195
1.7282 1.7282 -11.3195
Cd Ag
3 4
Cartesian
0.0000 0.0000 0.0000 Cd
0.0000 0.0000 6.6023 Cd
0.0000 0.0000 16.0366 Cd
0.0000 0.0000 3.1379 Ag
0.0000 0.0000 9.7245 Ag
0.0000 0.0000 12.9144 Ag
0.0000 0.0000 19.5011 Ag
```